Simulated powder diffraction line list of EuMgAg for Cu Kα, 1.54184 Å, from a GGA-PBE-relaxed structure.

Structure:
a b c (Å): 7.7489 4.6086 8.9224
angles (deg): 90.00 90.00 90.00
Atoms (fractional coordinates):
1 Eu 0.0332 0.2500 0.1781
2 Eu 0.4668 0.7500 0.6781
3 Eu 0.5332 0.2500 0.3219
4 Eu 0.9668 0.7500 0.8219
5 Mg 0.1392 0.2500 0.5602
6 Mg 0.3608 0.7500 0.0602
7 Mg 0.6392 0.2500 0.9398
8 Mg 0.8608 0.7500 0.4398
9 Ag 0.2281 0.7500 0.3756
10 Ag 0.2719 0.2500 0.8756
11 Ag 0.7281 0.7500 0.1244
12 Ag 0.7719 0.2500 0.6244

The 12 most intense peaks (2θ from 10° to 80°), low angle first:
- 23.00°, I 16
- 24.59°, I 26
- 30.17°, I 62
- 31.80°, I 100
- 32.24°, I 23
- 35.94°, I 16
- 37.83°, I 21
- 39.09°, I 29
- 40.37°, I 27
- 46.74°, I 14
- 51.54°, I 12
- 57.45°, I 19



Simulated powder diffraction line list of NdEuAg2 for Cu Kα, 1.54184 Å, from a GGA-PBE-relaxed structure.

Structure:
a b c (Å): 5.3582 5.3582 5.3582
angles (deg): 60.00 60.00 60.00
Atoms (fractional coordinates):
1 Nd 0.0000 0.0000 0.0000
2 Eu 0.5000 0.5000 0.5000
3 Ag 0.2500 0.2500 0.2500
4 Ag 0.7500 0.7500 0.7500

The 8 most intense peaks (2θ from 10° to 80°), low angle first:
- 23.48°, I 2
- 33.45°, I 100
- 41.27°, I 1
- 48.03°, I 18
- 54.13°, I 1
- 59.79°, I 36
- 70.27°, I 11
- 75.24°, I 1



Simulated powder diffraction line list of EuAgO2 for Cu Kα, 1.54184 Å, from a GGA-PBE-relaxed structure.

Structure:
a b c (Å): 3.6700 3.6700 12.4448
angles (deg): 90.00 90.00 120.00
Atoms (fractional coordinates):
1 Eu 0.0000 0.0000 0.0000
2 Eu 0.0000 0.0000 0.5000
3 Ag 0.3333 0.6667 0.2500
4 Ag 0.6667 0.3333 0.7500
5 O 0.3333 0.6667 0.0847
6 O 0.3333 0.6667 0.4153
7 O 0.6667 0.3333 0.5847
8 O 0.6667 0.3333 0.9153

The 12 most intense peaks (2θ from 10° to 80°), low angle first:
- 14.23°, I 9
- 28.07°, I 10
- 28.69°, I 32
- 29.00°, I 40
- 31.61°, I 100
- 40.58°, I 14
- 46.33°, I 10
- 49.68°, I 30
- 52.70°, I 29
- 58.39°, I 26
- 60.09°, I 16
- 75.34°, I 10